Sn3H8C2NO7: computed X-ray diffraction stick pattern (λ = 1.5418 Å (Cu Kα)), based on a DFT-relaxed cell (GGA-PBE, the Materials Project).

Most intense lines, 2θ = 15–90°, low angle first:
| (hkl) | d_spacing | Rel. int. |
| --- | --- | --- |
| 1 0 -2 | 4.261 | 36 |
| 1 1 -2 | 3.635 | 37 |
| 2 0 1 | 3.569 | 29 |
| 2 1 -1 | 3.442 | 46 |
| 1 2 0 | 3.206 | 64 |
| 1 2 1 | 2.977 | 100 |

Atomic structure:
Lattice parameters (Å, degrees): 8.296 6.963 9.256 90.00 97.95 90.00
Positions (direct):
Sn  0.018  0.000  0.422
Sn  0.298  0.214  0.666
Sn  0.402  0.719  0.578
Sn  0.598  0.219  0.422
Sn  0.702  0.714  0.334
Sn  0.982  0.500  0.578
H  0.034  0.498  0.022
H  0.094  0.624  0.190
H  0.136  0.369  0.177
H  0.194  0.745  0.907
H  0.272  0.852  0.079
H  0.309  0.439  0.997
H  0.373  0.538  0.160
H  0.411  0.755  0.964
H  0.589  0.255  0.036
H  0.627  0.038  0.840
H  0.691  0.939  0.003
H  0.728  0.352  0.921
H  0.806  0.245  0.093
H  0.864  0.869  0.823
H  0.906  0.124  0.810
H  0.966  0.998  0.978
C  0.124  0.507  0.119
C  0.291  0.740  0.000
C  0.709  0.240  0.000
C  0.876  0.007  0.881
N  0.284  0.549  0.070
N  0.716  0.049  0.930
O  0.042  0.214  0.576
O  0.057  0.067  0.228
O  0.241  0.498  0.579
O  0.241  0.944  0.558
O  0.312  0.226  0.873
O  0.443  0.251  0.251
O  0.474  0.706  0.384
O  0.526  0.206  0.616
O  0.557  0.751  0.749
O  0.688  0.726  0.127
O  0.759  0.444  0.442
O  0.759  0.998  0.421
O  0.943  0.567  0.772
O  0.958  0.714  0.424